(1)
Structure and computed X-ray powder pattern of Rb4PbBr5 (a PBE-relaxed structure; Cu Kα (λ = 1.5418 Å)).
Neutral-atom scattering factors, no anomalous dispersion.

Main lines, in order of falling intensity (2θ = 10–90°):
(hkl), 2θ/deg, Rel. int.
3 1 0, 25.93, 1000
3 1 2, 36.53, 805
0 0 2, 25.28, 545
2 4 2, 45.34, 440
2 4 0, 36.99, 394
5 5 2, 66.36, 265
3 1 4, 58.92, 197
6 2 2, 59.89, 182

Structure:
```
data_Rb4PbBr5
_cell_length_a 10.868
_cell_length_b 10.868
_cell_length_c 7.045
_cell_angle_alpha 90.00
_cell_angle_beta 90.00
_cell_angle_gamma 90.00
_symmetry_space_group_name_H-M 'I 4'
_symmetry_Int_Tables_number 79
loop_
_symmetry_equiv_pos_as_xyz
'x,y,z'
'-y,x,z'
'-x,-y,z'
'y,-x,z'
'x+1/2,y+1/2,z+1/2'
'-y+1/2,x+1/2,z+1/2'
'-x+1/2,-y+1/2,z+1/2'
'y+1/2,-x+1/2,z+1/2'
loop_
_atom_site_label
_atom_site_type_symbol
_atom_site_fract_x
_atom_site_fract_y
_atom_site_fract_z
Rb1 Rb 0.096 0.705 0.000
Pb1 Pb 0.000 0.000 0.499
Br1 Br 0.000 0.000 0.999
Br2 Br 0.091 0.715 0.500
```

(2)
Structure and computed X-ray powder pattern of BaTlCdRh (a PBE-relaxed structure; Cu Kα (λ = 1.5418 Å)).
Neutral-atom scattering factors, no anomalous dispersion.

Main lines, in order of falling intensity (2θ = 10–90°):
(hkl), 2θ/deg, Rel. int.
1 1 0, 37.55, 1000
0 1 5, 33.44, 802
1 0 4, 29.64, 684
0 0 3, 15.15, 418
1 0 1, 22.02, 350
2 0 5, 51.15, 241
1 2 5, 65.16, 234
1 1 3, 40.70, 216

Structure:
```
data_BaTlCdRh
_cell_length_a 4.7906
_cell_length_b 4.7906
_cell_length_c 17.5495
_cell_angle_alpha 90.00
_cell_angle_beta 90.00
_cell_angle_gamma 120.00
_symmetry_space_group_name_H-M 'R 3 m'
_symmetry_Int_Tables_number 160
_symmetry_space_group_name_Hall 'R 3 -2"'
loop_
_atom_site_label
_atom_site_type_symbol
_atom_site_fract_x
_atom_site_fract_y
_atom_site_fract_z
Ba1 Ba 0.0000 0.0000 0.0000
Tl1 Tl 0.0000 0.0000 0.2038
Cd1 Cd 0.0000 0.0000 0.4616
Rh1 Rh 0.0000 0.0000 0.8094
```